This entry pairs a crystal structure of Ac5NiC4 with its calculated powder diffractogram. Radiation: Cu Kα. Structure: a crystal structure in Alexandria, relaxed with GGA-PBE.

Top 10 peaks for 15° ≤ 2θ ≤ 90°, sorted by position:
2theta  I/Imax
27.03  1000
29.92  293
31.99  484
44.37  396
45.87  160
51.38  191
54.06  264
55.74  181
71.31  133
83.84  101

Cell and atoms:
```
data_Ac5NiC4
_chemical_formula_sum 'Ac5 Ni1 C4'
_cell_length_a 6.9319
_cell_length_b 6.9319
_cell_length_c 6.9319
_cell_angle_alpha 100.70
_cell_angle_beta 100.70
_cell_angle_gamma 128.96
_symmetry_space_group_name_H-M 'P 1'
_symmetry_Int_Tables_number 1
_symmetry_space_group_name_Hall 'P 1'
loop_
_atom_site_label
_atom_site_type_symbol
_atom_site_fract_x
_atom_site_fract_y
_atom_site_fract_z
Ac1 Ac 0.0000 0.0000 0.0000
Ac2 Ac 0.1821 0.3859 0.5702
Ac3 Ac 0.3859 0.8156 0.2038
Ac4 Ac 0.6119 0.1821 0.7962
Ac5 Ac 0.8156 0.6119 0.4298
Ni1 Ni 0.4998 0.4998 0.0000
C1 C 0.1038 0.6984 0.8015
C2 C 0.3023 0.1038 0.4054
C3 C 0.6984 0.8969 0.5946
C4 C 0.8969 0.3023 0.1985
```